No. 1
This entry pairs a crystal structure of Rb2PtAuO4 with its theoretical powder diffractogram. Radiation: Cu Kα (λ = 1.5418 Å). Structure: DFT lattice parameters and positions (PBE).

Largest 8 diffraction maxima, in order of rising 2θ, 2θ from 5° to 70°:
Position (°2θ), d (Å), Rel. int.
14.8, 5.974, 47
20.4, 4.360, 100
29.2, 3.057, 34
29.4, 3.034, 68
35.9, 2.503, 26
38.4, 2.341, 26
42.0, 2.153, 66
42.3, 2.136, 25

Atomic structure:
```
Rb2PtAuO4
1.0
6.114 0.000 0.000
0.000 2.341 5.974
0.000 -2.341 5.974
Rb Pt Au O
2 1 1 4
direct
0.000 0.000 0.000
0.500 0.395 0.395
0.500 0.695 0.695
0.000 0.701 0.701
0.245 0.588 0.588
0.257 0.807 0.807
0.743 0.807 0.807
0.755 0.588 0.588
```

No. 2
This entry pairs a crystal structure of AuSO4 with its theoretical powder diffractogram. Radiation: Cu Kα (λ = 1.5418 Å). Structure: DFT lattice parameters and positions (PBE).

Largest 8 diffraction maxima, in order of rising 2θ, 2θ from 5° to 70°:
Position (°2θ), d (Å), Rel. int.
17.6, 5.053, 100
18.0, 4.935, 61
25.9, 3.443, 30
28.4, 3.142, 36
31.1, 2.871, 22
34.7, 2.583, 43
42.8, 2.111, 16
43.6, 2.076, 36

Atomic structure:
```
AuSO4
1.0
8.147 0.000 0.000
0.000 9.870 0.000
0.000 0.000 8.501
Au S O
8 8 32
direct
0.050 0.012 0.141
0.050 0.488 0.641
0.450 0.512 0.141
0.450 0.988 0.641
0.550 0.012 0.359
0.550 0.488 0.859
0.950 0.512 0.359
0.950 0.988 0.859
0.221 0.145 0.427
0.221 0.355 0.927
0.279 0.645 0.427
0.279 0.855 0.927
0.721 0.145 0.073
0.721 0.355 0.573
0.779 0.645 0.073
0.779 0.855 0.573
0.125 0.656 0.325
0.125 0.844 0.825
0.128 0.020 0.381
0.128 0.480 0.881
0.130 0.231 0.911
0.130 0.269 0.411
0.231 0.626 0.598
0.231 0.874 0.098
0.269 0.126 0.598
0.269 0.374 0.098
0.370 0.731 0.911
0.370 0.769 0.411
0.372 0.520 0.381
0.372 0.980 0.881
0.375 0.156 0.325
0.375 0.344 0.825
0.625 0.656 0.175
0.625 0.844 0.675
0.628 0.020 0.119
0.628 0.480 0.619
0.630 0.231 0.589
0.630 0.269 0.089
0.731 0.626 0.902
0.731 0.874 0.402
0.769 0.126 0.902
0.769 0.374 0.402
0.870 0.731 0.589
0.870 0.769 0.089
0.872 0.520 0.119
0.872 0.980 0.619
0.875 0.156 0.175
0.875 0.344 0.675
```

No. 3
This entry pairs a crystal structure of SbAuSO with its theoretical powder diffractogram. Radiation: Cu Kα (λ = 1.5418 Å). Structure: DFT lattice parameters and positions (PBE).

Largest 8 diffraction maxima, in order of rising 2θ, 2θ from 5° to 70°:
Position (°2θ), d (Å), Rel. int.
18.1, 4.902, 80
22.1, 4.021, 66
24.4, 3.653, 54
25.9, 3.436, 100
26.3, 3.389, 49
34.8, 2.581, 37
40.8, 2.212, 34
41.1, 2.194, 40

Atomic structure:
```
SbAuSO
1.0
6.024 0.000 0.000
0.000 5.459 0.000
-1.810 0.000 11.064
Sb Au S O
4 4 4 4
direct
0.006 0.000 0.409
0.435 0.008 0.661
0.565 0.508 0.339
0.994 0.500 0.591
0.095 0.693 0.197
0.365 0.917 0.013
0.635 0.417 0.987
0.905 0.193 0.803
0.182 0.897 0.814
0.435 0.929 0.223
0.565 0.429 0.777
0.818 0.397 0.186
0.204 0.763 0.529
0.224 0.234 0.545
0.776 0.734 0.455
0.796 0.263 0.471
```

No. 4
This entry pairs a crystal structure of SmAuSO with its theoretical powder diffractogram. Radiation: Cu Kα (λ = 1.5418 Å). Structure: DFT lattice parameters and positions (PBE).

Largest 8 diffraction maxima, in order of rising 2θ, 2θ from 5° to 70°:
Position (°2θ), d (Å), Rel. int.
9.8, 9.031, 42
19.7, 4.516, 48
29.7, 3.011, 100
31.3, 2.862, 64
32.9, 2.720, 65
37.3, 2.412, 47
43.6, 2.074, 36
46.0, 1.971, 65

Atomic structure:
```
SmAuSO
1.0
9.032 0.000 0.000
0.000 5.704 0.000
-0.011 0.000 5.723
Sm Au S O
4 4 4 4
direct
0.127 0.001 0.250
0.127 0.499 0.750
0.873 0.501 0.250
0.873 0.999 0.750
0.500 0.245 0.247
0.500 0.255 0.747
0.500 0.745 0.253
0.500 0.755 0.753
0.286 0.005 0.750
0.286 0.495 0.250
0.714 0.505 0.750
0.714 0.995 0.250
0.002 0.750 0.000
0.002 0.750 0.500
0.998 0.250 0.000
0.998 0.250 0.500
```